Ag6Se2BrF2: theoretical XRD peak list (a wavelength of 1.5418 Å), based on a DFT-relaxed cell (GGA-PBE, Alexandria).
No peak broadening, texture or thermal motion is included.

```
data_Ag6Se2BrF2
_chemical_formula_sum 'Ag6 Se2 Br1 F2'
_cell_length_a 7.584
_cell_length_b 7.615
_cell_length_c 7.618
_cell_angle_alpha 92.12
_cell_angle_beta 119.64
_cell_angle_gamma 117.84
_space_group_name_H-M_alt 'P -1'
_space_group_IT_number 2
_space_group_name_Hall '-P 1'
loop_
_atom_site_label
_atom_site_fract_x
_atom_site_fract_y
_atom_site_fract_z
Ag1 0.129 0.205 0.487
Ag2 0.282 0.794 0.922
Ag3 0.366 0.492 0.126
Se1 0.310 0.179 0.867
Br1 0.000 0.500 0.500
F1 0.100 0.284 0.186
```

Largest 12 diffraction maxima, sorted by position, 5 to 70 degrees two-theta:
d_spacing, Position (°2θ), I_rel, h k l
6.291, 14.1, 100, 1 0 -1
6.193, 14.3, 26, 1 -1 0
5.285, 16.8, 41, -1 1 1
3.269, 27.3, 23, 1 -2 1
3.210, 27.8, 19, -2 1 2
3.200, 27.9, 19, -2 2 1
2.474, 36.3, 17, 1 2 -2
2.433, 36.9, 20, 1 1 1
2.382, 37.8, 16, -1 2 2
2.196, 41.1, 18, -1 3 1
2.117, 42.7, 20, 1 2 -3
2.104, 43.0, 15, 0 3 0

=====

Ag7Se2BrF2: theoretical XRD peak list (a wavelength of 1.5418 Å), based on a DFT-relaxed cell (GGA-PBE, Alexandria).
No peak broadening, texture or thermal motion is included.

```
data_Ag7Se2BrF2
_chemical_formula_sum 'Ag14 Se4 Br2 F4'
_cell_length_a 4.710
_cell_length_b 20.250
_cell_length_c 5.250
_cell_angle_alpha 90.00
_cell_angle_beta 90.00
_cell_angle_gamma 90.00
_space_group_name_H-M_alt 'I m m 2'
_space_group_IT_number 44
_space_group_name_Hall 'I 2 -2'
loop_
_atom_site_label
_atom_site_fract_x
_atom_site_fract_y
_atom_site_fract_z
Ag1 0.000 0.000 0.000
Ag2 0.000 0.118 0.550
Ag3 0.000 0.273 0.985
Ag4 0.000 0.408 0.713
Se1 0.000 0.129 0.047
Br1 0.000 0.500 0.114
F1 0.000 0.242 0.522
```

Largest 12 diffraction maxima, sorted by position, 5 to 70 degrees two-theta:
d_spacing, Position (°2θ), I_rel, h k l
3.506, 25.4, 42, 1 0 1
2.882, 31.0, 100, 1 4 1
2.625, 34.2, 35, 0 0 2
2.532, 35.5, 53, 0 8 0
2.465, 36.4, 52, 1 7 0
2.431, 37.0, 39, 1 6 1
2.355, 38.2, 75, 2 0 0
2.278, 39.6, 52, 1 1 2
1.995, 45.5, 37, 1 5 2
1.822, 50.1, 23, 0 8 2
1.725, 53.1, 38, 2 8 0
1.441, 64.7, 32, 2 8 2

=====

AgSnBrF6: theoretical XRD peak list (a wavelength of 1.5418 Å), based on a DFT-relaxed cell (GGA-PBE, Alexandria).
No peak broadening, texture or thermal motion is included.

```
data_AgSnBrF6
_chemical_formula_sum 'Ag2 Sn2 Br2 F12'
_cell_length_a 6.641
_cell_length_b 10.593
_cell_length_c 5.037
_cell_angle_alpha 90.00
_cell_angle_beta 112.38
_cell_angle_gamma 90.00
_space_group_name_H-M_alt 'C 1 2 1'
_space_group_IT_number 5
_space_group_name_Hall 'C 2y'
loop_
_atom_site_label
_atom_site_fract_x
_atom_site_fract_y
_atom_site_fract_z
Ag1 0.000 0.000 0.000
Sn1 0.000 0.617 0.000
Br1 0.000 0.271 0.500
F1 0.176 0.632 0.763
F2 0.178 0.776 0.240
F3 0.227 0.498 0.235
```

Largest 12 diffraction maxima, sorted by position, 5 to 70 degrees two-theta:
d_spacing, Position (°2θ), I_rel, h k l
5.298, 16.7, 37, 0 2 0
4.658, 19.1, 36, 0 0 1
4.268, 20.8, 71, 1 1 -1
3.498, 25.5, 88, 0 2 1
3.063, 29.2, 100, 1 3 0
3.041, 29.4, 25, 1 1 1
2.726, 32.9, 32, 2 2 -1
2.361, 38.1, 30, 1 3 1
2.331, 38.6, 46, 2 0 -2
2.050, 44.2, 22, 1 3 -2
2.037, 44.5, 25, 2 2 1
1.705, 53.8, 28, 1 3 2

=====

Ag4TeBr2F: theoretical XRD peak list (a wavelength of 1.5418 Å), based on a DFT-relaxed cell (GGA-PBE, Alexandria).
No peak broadening, texture or thermal motion is included.

```
data_Ag4TeBr2F
_chemical_formula_sum 'Ag16 Te4 Br8 F4'
_cell_length_a 7.514
_cell_length_b 8.517
_cell_length_c 11.395
_cell_angle_alpha 90.00
_cell_angle_beta 90.00
_cell_angle_gamma 90.00
_space_group_name_H-M_alt 'I m m a'
_space_group_IT_number 74
_space_group_name_Hall '-I 2b 2'
loop_
_atom_site_label
_atom_site_fract_x
_atom_site_fract_y
_atom_site_fract_z
Ag1 0.000 0.004 0.224
Ag2 0.232 0.250 0.003
Te1 0.250 0.250 0.250
Br1 0.000 0.000 0.500
Br2 0.250 0.250 0.750
F1 0.000 0.000 0.000
```

Largest 12 diffraction maxima, sorted by position, 5 to 70 degrees two-theta:
d_spacing, Position (°2θ), I_rel, h k l
3.411, 26.1, 5, 0 2 2
3.390, 26.3, 6, 1 0 3
2.849, 31.4, 46, 0 0 4
2.817, 31.8, 100, 2 2 0
2.652, 33.8, 11, 1 2 3
2.129, 42.5, 22, 0 4 0
2.003, 45.3, 64, 2 2 4
1.878, 48.5, 15, 4 0 0
1.706, 53.7, 19, 0 4 4
1.568, 58.9, 15, 4 0 4
1.491, 62.3, 7, 1 2 7
1.409, 66.4, 11, 4 4 0

=====

TiAg3Br2F6: theoretical XRD peak list (a wavelength of 1.5418 Å), based on a DFT-relaxed cell (GGA-PBE, Alexandria).
No peak broadening, texture or thermal motion is included.

```
data_TiAg3Br2F6
_chemical_formula_sum 'Ti2 Ag6 Br4 F12'
_cell_length_a 13.360
_cell_length_b 6.556
_cell_length_c 5.074
_cell_angle_alpha 90.00
_cell_angle_beta 90.47
_cell_angle_gamma 90.00
_space_group_name_H-M_alt 'C 1 2/m 1'
_space_group_IT_number 12
_space_group_name_Hall '-C 2y'
loop_
_atom_site_label
_atom_site_fract_x
_atom_site_fract_y
_atom_site_fract_z
Ti1 0.000 0.000 0.000
Ag1 0.000 0.500 0.500
Ag2 0.250 0.250 0.000
Br1 0.192 0.500 0.634
F1 0.055 0.208 0.217
F2 0.122 0.000 0.809
```

Largest 12 diffraction maxima, sorted by position, 5 to 70 degrees two-theta:
d_spacing, Position (°2θ), I_rel, h k l
6.680, 13.3, 23, 2 0 0
4.056, 21.9, 35, 2 0 -1
3.848, 23.1, 100, 1 1 -1
3.340, 26.7, 45, 4 0 0
2.943, 30.4, 20, 2 2 0
2.800, 32.0, 22, 4 0 -1
2.753, 32.5, 60, 0 2 1
2.541, 35.3, 56, 2 2 1
2.120, 42.7, 24, 4 2 1
2.012, 45.1, 21, 4 0 2
1.925, 47.2, 33, 2 2 -2
1.842, 49.5, 28, 6 2 0

=====

FeAg3Br6: theoretical XRD peak list (a wavelength of 1.5418 Å), based on a DFT-relaxed cell (GGA-PBE, Alexandria).
No peak broadening, texture or thermal motion is included.

```
data_FeAg3Br6
_chemical_formula_sum 'Fe2 Ag6 Br12'
_cell_length_a 9.597
_cell_length_b 7.475
_cell_length_c 9.824
_cell_angle_alpha 90.00
_cell_angle_beta 105.70
_cell_angle_gamma 90.00
_space_group_name_H-M_alt 'P 1 21 1'
_space_group_IT_number 4
_space_group_name_Hall 'P 2yb'
loop_
_atom_site_label
_atom_site_fract_x
_atom_site_fract_y
_atom_site_fract_z
Fe1 0.181 0.000 0.321
Ag1 0.148 0.141 0.739
Ag2 0.280 0.653 0.671
Ag3 0.461 0.146 0.050
Br1 0.026 0.127 0.451
Br2 0.045 0.802 0.149
Br3 0.275 0.237 0.215
Br4 0.283 0.864 0.897
Br5 0.369 0.842 0.480
Br6 0.393 0.344 0.785
```

Largest 12 diffraction maxima, sorted by position, 5 to 70 degrees two-theta:
d_spacing, Position (°2θ), I_rel, h k l
7.738, 11.4, 83, 1 0 -1
5.811, 15.2, 35, 1 1 0
5.376, 16.5, 43, 1 1 -1
3.436, 25.9, 71, 2 1 -2
3.396, 26.2, 43, 1 1 2
3.365, 26.5, 100, 2 1 1
2.936, 30.4, 27, 2 0 2
2.409, 37.3, 28, 0 2 3
2.332, 38.6, 34, 1 1 -4
2.307, 39.0, 35, 2 2 2
2.284, 39.5, 28, 4 1 -1
2.095, 43.2, 31, 2 3 -2

=====

Fe2Ag2Br7: theoretical XRD peak list (a wavelength of 1.5418 Å), based on a DFT-relaxed cell (GGA-PBE, Alexandria).
No peak broadening, texture or thermal motion is included.

```
data_Fe2Ag2Br7
_chemical_formula_sum 'Fe4 Ag4 Br14'
_cell_length_a 6.810
_cell_length_b 13.276
_cell_length_c 8.452
_cell_angle_alpha 90.00
_cell_angle_beta 99.97
_cell_angle_gamma 90.00
_space_group_name_H-M_alt 'P 1 21/c 1'
_space_group_IT_number 14
_space_group_name_Hall '-P 2ybc'
loop_
_atom_site_label
_atom_site_fract_x
_atom_site_fract_y
_atom_site_fract_z
Fe1 0.167 0.103 0.325
Ag1 0.340 0.697 0.674
Br1 0.000 0.000 0.500
Br2 0.074 0.712 0.328
Br3 0.321 0.004 0.148
Br4 0.413 0.205 0.491
```

Largest 12 diffraction maxima, sorted by position, 5 to 70 degrees two-theta:
d_spacing, Position (°2θ), I_rel, h k l
6.638, 13.3, 33, 0 2 0
4.539, 19.6, 100, 1 1 1
4.337, 20.5, 81, 1 2 -1
3.325, 26.8, 58, 0 4 0
3.217, 27.7, 25, 2 1 -1
3.194, 27.9, 52, 1 1 2
2.871, 31.2, 42, 1 4 -1
2.800, 32.0, 36, 2 1 -2
2.641, 33.9, 35, 1 3 2
2.414, 37.2, 44, 2 0 2
2.073, 43.7, 55, 2 5 -1
1.918, 47.4, 87, 0 5 3

=====

FeAgBr4: theoretical XRD peak list (a wavelength of 1.5418 Å), based on a DFT-relaxed cell (GGA-PBE, Alexandria).
No peak broadening, texture or thermal motion is included.

```
data_FeAgBr4
_chemical_formula_sum 'Fe2 Ag2 Br8'
_cell_length_a 6.288
_cell_length_b 6.290
_cell_length_c 11.690
_cell_angle_alpha 90.00
_cell_angle_beta 90.00
_cell_angle_gamma 90.00
_space_group_name_H-M_alt 'P 2 2 2'
_space_group_IT_number 16
_space_group_name_Hall 'P 2 2'
loop_
_atom_site_label
_atom_site_fract_x
_atom_site_fract_y
_atom_site_fract_z
Fe1 0.000 0.000 0.000
Fe2 0.000 0.500 0.500
Ag1 0.000 0.000 0.500
Ag2 0.500 0.000 0.000
Br1 0.210 0.223 0.120
Br2 0.225 0.291 0.619
```

Largest 12 diffraction maxima, sorted by position, 5 to 70 degrees two-theta:
d_spacing, Position (°2θ), I_rel, h k l
6.289, 14.1, 26, 1 0 0
5.845, 15.2, 32, 0 0 2
5.538, 16.0, 34, 0 1 1
4.281, 20.7, 13, 0 1 2
3.539, 25.2, 100, 1 1 2
2.769, 32.3, 12, 0 2 2
2.735, 32.7, 12, 1 2 1
2.534, 35.4, 14, 2 1 2
2.223, 40.6, 27, 2 2 0
2.141, 42.2, 54, 2 0 4
1.883, 48.3, 22, 3 1 2
1.785, 51.2, 13, 1 1 6

=====

Q: Which formula does entry 4 have?
A: Ag4TeBr2F